Theoretical PXRD pattern
Compound: Rb2TlCrO4
Radiation: Cu Kα (λ = 1.5418 Å)
Structure: a structure optimized by DFT (PBE+U)

Principal peaks in the range 2θ = 15–90°, sorted by position:
| 2θ (°) | I/Imax |
| --- | --- |
| 17.64 | 25 |
| 26.62 | 60 |
| 30.13 | 100 |
| 37.99 | 32 |
| 49.25 | 50 |
| 55.57 | 19 |

Crystal structure
```
Rb2TlCrO4
1.0
-3.3484 3.3484 3.8041
3.3484 -3.3484 3.8041
3.3484 3.3484 -3.8041
Rb Tl Cr O
2 1 1 4
direct
0.0000 0.0000 0.0000
0.7500 0.2500 0.5000
0.5000 0.5000 0.0000
0.2500 0.7500 0.5000
0.2313 0.0379 0.5186
0.2874 0.7687 0.8066
0.5193 0.7126 0.4814
0.9621 0.4807 0.1934
```

Theoretical PXRD pattern
Compound: RbUCrO6
Radiation: Cu Kα (λ = 1.5418 Å)
Structure: a structure optimized by DFT (PBE+U)

Principal peaks in the range 2θ = 15–90°, sorted by position:
| 2θ (°) | I/Imax |
| --- | --- |
| 24.73 | 100 |
| 25.60 | 56 |
| 28.05 | 67 |
| 28.20 | 49 |
| 28.34 | 32 |
| 33.42 | 29 |

Crystal structure
```
RbUCrO6
1.0
7.2026 0.0000 0.0000
0.0000 8.4119 0.0000
-2.7295 0.0000 10.2456
Rb U Cr O
4 4 4 24
direct
0.0331 0.2418 0.3617
0.0331 0.2582 0.8617
0.9669 0.7418 0.1383
0.9669 0.7582 0.6383
0.4888 0.0188 0.1769
0.4888 0.4812 0.6769
0.5112 0.5188 0.3231
0.5112 0.9812 0.8231
0.3896 0.6425 0.9442
0.3896 0.8575 0.4442
0.6104 0.1425 0.5558
0.6104 0.3575 0.0558
0.1620 0.6308 0.9322
0.1620 0.8692 0.4322
0.2285 0.0573 0.1232
0.2285 0.4427 0.6232
0.2515 0.0198 0.7653
0.2515 0.4802 0.2653
0.4278 0.7104 0.7871
0.4278 0.7896 0.2871
0.4638 0.0609 0.3948
0.4638 0.4391 0.8948
0.4707 0.6570 0.5067
0.4707 0.8430 0.0067
0.5293 0.1570 0.9933
0.5293 0.3430 0.4933
0.5362 0.5609 0.1052
0.5362 0.9391 0.6052
0.5722 0.2104 0.7129
0.5722 0.2896 0.2129
0.7485 0.5198 0.7347
0.7485 0.9802 0.2347
0.7715 0.5573 0.3768
0.7715 0.9427 0.8768
0.8380 0.1308 0.5678
0.8380 0.3692 0.0678
```

Theoretical PXRD pattern
Compound: CrReO4
Radiation: Cu Kα (λ = 1.5418 Å)
Structure: a structure optimized by DFT (PBE+U)

Principal peaks in the range 2θ = 15–90°, sorted by position:
| 2θ (°) | I/Imax |
| --- | --- |
| 19.80 | 60 |
| 27.25 | 100 |
| 33.91 | 31 |
| 35.01 | 79 |
| 38.91 | 22 |
| 53.33 | 65 |

Crystal structure
```
CrReO4
1.0
-3.2732 3.2732 3.0778
3.2732 -3.2732 3.0778
3.2732 3.2732 -3.0778
Cr Re O
2 2 8
direct
0.0000 0.0000 0.0000
0.7500 0.2500 0.5000
0.2578 0.7578 0.5000
0.5078 0.5078 0.0000
0.2108 0.5127 0.6982
0.2627 0.0645 0.8018
0.2627 0.4608 0.1982
0.3052 0.9981 0.3071
0.6911 0.9981 0.6929
0.7481 0.5552 0.8071
0.7481 0.9411 0.1929
0.8145 0.5127 0.3018
```

Theoretical PXRD pattern
Compound: TbCr2ReO8
Radiation: Cu Kα (λ = 1.5418 Å)
Structure: a structure optimized by DFT (PBE+U)

Principal peaks in the range 2θ = 15–90°, sorted by position:
| 2θ (°) | I/Imax |
| --- | --- |
| 18.76 | 66 |
| 26.53 | 62 |
| 26.78 | 60 |
| 33.85 | 100 |
| 51.70 | 41 |
| 51.98 | 39 |

Crystal structure
```
TbCr2ReO8
1.0
3.3290 -3.3593 0.0000
3.3290 3.3593 0.0000
0.0000 0.0000 6.3914
Tb Cr Re O
1 2 1 8
direct
0.0000 0.0000 0.0000
0.5000 0.5000 0.2473
0.5000 0.5000 0.7527
0.0000 0.0000 0.5000
0.1982 0.1982 0.2891
0.1982 0.1982 0.7109
0.2890 0.7110 0.5000
0.3234 0.6766 0.0000
0.6766 0.3234 0.0000
0.7110 0.2890 0.5000
0.8018 0.8018 0.2891
0.8018 0.8018 0.7109
```

Theoretical PXRD pattern
Compound: CrRh2O6
Radiation: Cu Kα (λ = 1.5418 Å)
Structure: a structure optimized by DFT (PBE+U)

Principal peaks in the range 2θ = 15–90°, sorted by position:
| 2θ (°) | I/Imax |
| --- | --- |
| 18.58 | 100 |
| 33.73 | 34 |
| 38.78 | 68 |
| 51.44 | 39 |
| 60.33 | 15 |
| 63.71 | 18 |

Crystal structure
```
CrRh2O6
1.0
5.3145 0.0000 0.0000
-2.6573 4.6025 0.0000
0.0000 0.0000 4.7767
Cr Rh O
1 2 6
direct
0.0000 0.0000 0.0000
0.3333 0.6667 0.0000
0.6667 0.3333 0.0000
0.0000 0.3360 0.1990
0.0000 0.6640 0.8010
0.3360 0.0000 0.1990
0.3360 0.3360 0.8010
0.6640 0.0000 0.8010
0.6640 0.6640 0.1990
```

Theoretical PXRD pattern
Compound: SrCr2RuO8
Radiation: Cu Kα (λ = 1.5418 Å)
Structure: a structure optimized by DFT (PBE+U)

Principal peaks in the range 2θ = 15–90°, sorted by position:
| 2θ (°) | I/Imax |
| --- | --- |
| 18.77 | 61 |
| 20.51 | 58 |
| 30.63 | 100 |
| 31.31 | 65 |
| 31.72 | 52 |
| 34.92 | 74 |

Crystal structure
```
SrCr2RuO8
1.0
4.3335 -2.8206 0.0000
4.3335 2.8206 0.0000
-0.2974 0.0000 7.2929
Sr Cr Ru O
1 2 1 8
direct
0.0000 0.0000 0.0000
0.3653 0.3653 0.7193
0.6347 0.6347 0.2807
0.0000 0.0000 0.5000
0.2206 0.2206 0.5527
0.2207 0.7352 0.6995
0.2648 0.7793 0.3005
0.2885 0.2885 0.9242
0.7115 0.7115 0.0758
0.7352 0.2207 0.6995
0.7793 0.2648 0.3005
0.7794 0.7794 0.4473
```

Theoretical PXRD pattern
Compound: TiCrRuO6
Radiation: Cu Kα (λ = 1.5418 Å)
Structure: a structure optimized by DFT (PBE+U)

Principal peaks in the range 2θ = 15–90°, sorted by position:
| 2θ (°) | I/Imax |
| --- | --- |
| 29.16 | 100 |
| 36.00 | 28 |
| 46.98 | 26 |
| 56.18 | 37 |
| 60.58 | 23 |
| 64.73 | 16 |

Crystal structure
```
TiCrRuO6
1.0
4.9891 0.0000 0.0000
-2.4946 4.3207 0.0000
0.0000 0.0000 8.6811
Ti Cr Ru O
2 2 2 12
direct
0.3333 0.6667 0.2500
0.6667 0.3333 0.7500
0.3333 0.6667 0.7500
0.6667 0.3333 0.2500
0.0000 0.0000 0.0000
0.0000 0.0000 0.5000
0.0050 0.3319 0.1276
0.0050 0.6731 0.3724
0.3269 0.3319 0.3724
0.3269 0.9950 0.1276
0.3319 0.0050 0.6276
0.3319 0.3269 0.8724
0.6681 0.6731 0.1276
0.6681 0.9950 0.3724
0.6731 0.0050 0.8724
0.6731 0.6681 0.6276
0.9950 0.3269 0.6276
0.9950 0.6681 0.8724
```